Record 1
Theoretical powder X-ray diffraction pattern
Compound: Pb4Se2SCl
Radiation: Cu Kα, 1.54184 Å
Structure: a cell relaxed with GGA-PBE
Neutral-atom scattering factors, no anomalous dispersion.

Cell and atoms:
```
Pb4Se2SCl
1.0
7.1641 0.0000 0.0000
0.0000 4.2797 0.0000
-2.5381 0.0000 7.6213
Pb Se S Cl
4 2 1 1
direct
0.2458 0.0000 0.2407
0.2533 0.5000 0.7618
0.7467 0.5000 0.2382
0.7542 0.0000 0.7593
0.5000 0.0000 0.0000
0.5000 0.5000 0.5000
0.0000 0.5000 0.0000
0.0000 0.0000 0.5000
```

Principal peaks in the range 2θ = 10–80°, sorted by position:
| 2theta | Rel. int. |
| --- | --- |
| 23.3 | 25.4 |
| 25.4 | 42.8 |
| 26.2 | 19.8 |
| 29.0 | 100.0 |
| 29.2 | 49.4 |
| 39.8 | 42.7 |
| 40.8 | 19.8 |
| 42.2 | 18.4 |
| 43.4 | 34.0 |
| 52.1 | 20.0 |


Record 2
Theoretical powder X-ray diffraction pattern
Compound: Zr7Sn2Ge2
Radiation: Cu Kα, 1.54184 Å
Structure: a cell relaxed with GGA-PBE
Neutral-atom scattering factors, no anomalous dispersion.

Cell and atoms:
```
Zr7Sn2Ge2
1.0
4.0944 -5.0561 0.0000
4.0944 5.0561 0.0000
0.0000 0.0000 6.3394
Zr Sn Ge
7 2 2
direct
0.0000 0.0000 0.0000
0.0000 0.5000 0.2624
0.0000 0.5000 0.7376
0.5000 0.0000 0.2624
0.5000 0.0000 0.7376
0.5000 0.5000 0.2530
0.5000 0.5000 0.7470
0.1787 0.1787 0.5000
0.8213 0.8213 0.5000
0.2746 0.7254 0.0000
0.7254 0.2746 0.0000
```

Principal peaks in the range 2θ = 10–80°, sorted by position:
| 2theta | Rel. int. |
| --- | --- |
| 22.5 | 27.8 |
| 25.9 | 50.1 |
| 28.0 | 30.2 |
| 31.5 | 46.1 |
| 33.4 | 20.5 |
| 35.5 | 63.9 |
| 36.9 | 21.4 |
| 40.2 | 100.0 |
| 40.6 | 34.7 |
| 45.1 | 20.4 |


Record 3
Theoretical powder X-ray diffraction pattern
Compound: BeCdIn2
Radiation: Cu Kα, 1.54184 Å
Structure: a cell relaxed with GGA-PBE
Neutral-atom scattering factors, no anomalous dispersion.

Cell and atoms:
```
BeCdIn2
1.0
4.2361 0.0000 0.0000
0.0000 4.2829 0.0000
-1.9358 0.0000 4.8153
Be Cd In
1 1 2
direct
0.0000 0.0000 0.0000
0.1602 0.5000 0.2823
0.4675 0.5000 0.8674
0.7405 0.0000 0.4533
```

Principal peaks in the range 2θ = 10–80°, sorted by position:
| 2theta | Rel. int. |
| --- | --- |
| 27.9 | 51.0 |
| 30.9 | 89.5 |
| 31.4 | 100.0 |
| 34.4 | 43.8 |
| 35.7 | 41.5 |
| 40.5 | 33.2 |
| 42.2 | 39.9 |
| 42.7 | 38.0 |
| 43.1 | 34.4 |
| 61.6 | 24.6 |